K2LiReF6: computed X-ray powder pattern (Cu Kα), based on a cell relaxed with GGA-PBE.
Kinematic intensities with the Lorentz-polarization factor, no thermal factor.

Most intense lines, 2θ = 5–70°, by angle:
- d = 4.591 Å, 2θ = 19.34°, rel. 1000
- d = 3.952 Å, 2θ = 22.50°, rel. 246
- d = 2.820 Å, 2θ = 31.74°, rel. 523
- d = 2.795 Å, 2θ = 32.03°, rel. 258
- d = 2.387 Å, 2θ = 37.68°, rel. 404
- d = 1.976 Å, 2θ = 45.93°, rel. 250

Atomic structure:
a = 5.640 Å, b = 5.640 Å, c = 5.640 Å
α = 120.60°, β = 120.60°, γ = 88.97°
Fractional coordinates of all 10 atoms:
K  0.250  0.750  0.500
K  0.750  0.250  0.500
Li  0.000  0.000  0.000
Re  0.500  0.500  0.000
F  0.233  0.743  0.976
F  0.244  0.244  0.000
F  0.257  0.233  0.490
F  0.743  0.767  0.510
F  0.756  0.756  0.000
F  0.767  0.257  0.024